[1]
Computed XRD peak list of CaCr6O4F4 for copper Kα, from a cell relaxed with GGA+U.

Most intense lines, 10 to 90 degrees two-theta, sorted by position:
hkl 0 1 0, 15.1°, intensity 40
hkl 1 0 1, 21.2°, intensity 20
hkl 0 2 0, 30.5°, intensity 33
hkl 1 0 2, 31.9°, intensity 37
hkl 2 -1 0, 33.8°, intensity 31
hkl 1 1 -2, 34.0°, intensity 100
hkl 1 1 2, 37.2°, intensity 39
hkl 2 -2 0, 41.9°, intensity 26
hkl 1 2 2, 47.5°, intensity 22
hkl 3 -1 2, 57.9°, intensity 17

Structural model:
Lattice parameters (Å, degrees): 5.646 5.907 6.719 93.80 92.75 96.47
Space group P1 (No. 1)
Asymmetric unit:
Ca  0.000  0.000  0.000
Cr  0.225  0.945  0.609
Cr  0.438  0.432  0.531
Cr  0.488  0.449  0.022
Cr  0.682  0.904  0.408
Cr  0.954  0.463  0.271
Cr  0.987  0.465  0.771
O  0.146  0.608  0.527
O  0.272  0.264  0.771
O  0.630  0.582  0.302
O  0.807  0.314  0.001
F  0.210  0.227  0.246
F  0.229  0.691  0.040
F  0.711  0.224  0.540
F  0.767  0.729  0.796


[2]
Computed XRD peak list of CaCrPbF6 for copper Kα, from a cell relaxed with GGA+U.

Most intense lines, 10 to 90 degrees two-theta, sorted by position:
hkl 0 0 2, 16.2°, intensity 24
hkl 1 0 1, 18.8°, intensity 73
hkl 1 1 0, 24.0°, intensity 100
hkl 1 1 2, 29.1°, intensity 31
hkl 1 0 3, 29.8°, intensity 80
hkl 2 1 1, 39.3°, intensity 29
hkl 2 1 3, 46.0°, intensity 74
hkl 2 2 0, 49.2°, intensity 19
hkl 1 1 6, 56.1°, intensity 19
hkl 3 0 3, 58.5°, intensity 24

Structural model:
Lattice parameters (Å, degrees): 5.243 5.243 10.965 90.00 90.00 90.00
Space group P4_2nm (No. 102)
Asymmetric unit:
Ca  0.000  0.000  0.000
Cr  0.000  0.000  0.337
Pb  0.000  0.000  0.668
F  0.175  0.175  0.171
F  0.195  0.195  0.491
F  0.225  0.225  0.849


[3]
Computed XRD peak list of RbCaCrF6 for copper Kα, from a cell relaxed with GGA+U.

Most intense lines, 10 to 90 degrees two-theta, sorted by position:
hkl 1 1 2, 23.9°, intensity 48
hkl 1 2 1, 27.4°, intensity 49
hkl 2 1 1, 27.8°, intensity 100
hkl 0 1 3, 28.5°, intensity 58
hkl 0 2 2, 28.9°, intensity 24
hkl 2 0 2, 29.4°, intensity 30
hkl 0 3 3, 44.0°, intensity 63
hkl 4 0 0, 48.5°, intensity 27
hkl 2 2 4, 49.0°, intensity 64
hkl 4 3 3, 67.6°, intensity 22

Structural model:
Lattice parameters (Å, degrees): 7.508 7.708 10.299 90.00 90.00 90.00
Space group Imma (No. 74)
Asymmetric unit:
Rb  0.000  0.250  0.103
Ca  0.000  0.000  0.500
Cr  0.250  0.250  0.750
F  0.000  0.250  0.393
F  0.000  0.250  0.699
F  0.230  0.073  0.882


[4]
Computed XRD peak list of SrCaCrF7 for copper Kα, from a cell relaxed with GGA+U.

Most intense lines, 10 to 90 degrees two-theta, sorted by position:
hkl 2 0 0, 22.0°, intensity 42
hkl 2 0 1, 23.8°, intensity 55
hkl 0 2 0, 24.0°, intensity 100
hkl 0 1 3, 29.4°, intensity 57
hkl 2 1 2, 30.9°, intensity 23
hkl 3 0 2, 38.0°, intensity 43
hkl 0 3 3, 45.7°, intensity 38
hkl 2 3 2, 46.8°, intensity 22
hkl 2 3 3, 51.3°, intensity 21
hkl 4 3 0, 59.1°, intensity 24

Structural model:
Lattice parameters (Å, degrees): 8.077 7.405 10.003 90.00 90.00 90.00
Space group Pnma (No. 62)
Asymmetric unit:
Sr  0.194  0.250  0.106
Ca  0.122  0.750  0.257
Cr  0.184  0.250  0.445
F  0.038  0.750  0.477
F  0.105  0.750  0.858
F  0.118  0.065  0.316
F  0.122  0.250  0.859
F  0.239  0.576  0.078